# SmMg16Al12
Computed powder diffractogram, copper Kα. Input: a crystal structure in Alexandria, relaxed with GGA-PBE.

Crystal structure
Unit cell a=9.216 b=9.216 c=9.216 alpha=109.97 beta=109.97 gamma=109.97
Positions (direct):
Sm  0.000  0.000  0.000
Mg  0.059  0.059  0.657
Mg  0.059  0.657  0.059
Mg  0.095  0.763  0.763
Mg  0.373  0.686  0.979
Mg  0.373  0.979  0.686
Mg  0.376  0.376  0.376
Mg  0.376  0.376  0.718
Mg  0.376  0.718  0.376
Mg  0.657  0.059  0.059
Mg  0.686  0.373  0.979
Mg  0.686  0.979  0.373
Mg  0.718  0.376  0.376
Mg  0.763  0.095  0.763
Mg  0.763  0.763  0.095
Mg  0.979  0.373  0.686
Mg  0.979  0.686  0.373
Al  0.009  0.189  0.375
Al  0.009  0.375  0.189
Al  0.189  0.009  0.375
Al  0.189  0.375  0.009
Al  0.200  0.562  0.562
Al  0.375  0.009  0.189
Al  0.375  0.189  0.009
Al  0.561  0.744  0.744
Al  0.562  0.200  0.562
Al  0.562  0.562  0.200
Al  0.744  0.561  0.744
Al  0.744  0.744  0.561

Principal peaks in the range 2θ = 10–90°, by angle:
2θ/deg, Rel. int.
11.7, 63
11.9, 40
20.5, 30
31.4, 27
35.7, 85
36.0, 98
36.4, 100
39.7, 48